This entry pairs a crystal structure of RbLi2V2B3O9 with its simulated X-ray diffraction stick pattern. Radiation: Cu Kα (λ = 1.5418 Å). Structure: a GGA+U-relaxed structure.
Kinematic intensities with the Lorentz-polarization factor, no thermal factor.

Structural model:
a b c (Å): 6.464 5.124 13.120
angles (deg): 90.00 91.44 90.00
Fractional positions:
Rb: 0.000 0.205 0.250
Rb: 0.000 0.795 0.750
Li: 0.497 0.171 0.364
Li: 0.497 0.829 0.864
Li: 0.503 0.171 0.136
Li: 0.503 0.829 0.636
V: 0.236 0.320 0.562
V: 0.236 0.680 0.062
V: 0.764 0.320 0.938
V: 0.764 0.680 0.438
B: 0.199 0.179 0.957
B: 0.199 0.821 0.457
B: 0.500 0.331 0.750
B: 0.500 0.669 0.250
B: 0.801 0.179 0.543
B: 0.801 0.821 0.043
O: 0.048 0.298 0.896
O: 0.048 0.702 0.396
O: 0.242 0.085 0.445
O: 0.242 0.915 0.945
O: 0.306 0.319 0.032
O: 0.306 0.681 0.532
O: 0.405 0.181 0.672
O: 0.405 0.819 0.172
O: 0.500 0.405 0.250
O: 0.500 0.595 0.750
O: 0.595 0.181 0.828
O: 0.595 0.819 0.328
O: 0.694 0.319 0.468
O: 0.694 0.681 0.968
O: 0.758 0.085 0.055
O: 0.758 0.915 0.555
O: 0.952 0.298 0.604
O: 0.952 0.702 0.104

Principal peaks in the range 2θ = 10–80°, sorted by position:
hkl 1 1 -1, 2θ = 23.07°, d 3.856, I = 57; hkl 0 1 3, 2θ = 26.81°, d 3.326, I = 68; hkl 1 1 -3, 2θ = 29.98°, d 2.980, I = 33; hkl 2 0 -2, 2θ = 30.51°, d 2.930, I = 100; hkl 2 0 2, 2θ = 31.17°, d 2.870, I = 30; hkl 0 2 0, 2θ = 35.03°, d 2.562, I = 25; hkl 1 1 4, 2θ = 35.63°, d 2.519, I = 31; hkl 3 1 -5, 2θ = 57.52°, d 1.602, I = 25



This entry pairs a crystal structure of Li2VBO4 with its simulated X-ray diffraction stick pattern. Radiation: Cu Kα (λ = 1.5418 Å). Structure: a GGA+U-relaxed structure.
Kinematic intensities with the Lorentz-polarization factor, no thermal factor.

Structural model:
a b c (Å): 10.904 5.889 4.714
angles (deg): 90.00 90.00 90.00
Fractional positions:
Li: 0.082 0.004 0.195
Li: 0.082 0.496 0.195
Li: 0.418 0.504 0.695
Li: 0.418 0.996 0.695
Li: 0.582 0.004 0.305
Li: 0.582 0.496 0.305
Li: 0.918 0.504 0.805
Li: 0.918 0.996 0.805
V: 0.180 0.250 0.695
V: 0.320 0.750 0.195
V: 0.680 0.250 0.805
V: 0.820 0.750 0.305
B: 0.162 0.750 0.673
B: 0.338 0.250 0.173
B: 0.662 0.750 0.827
B: 0.838 0.250 0.327
O: 0.097 0.540 0.774
O: 0.097 0.960 0.774
O: 0.161 0.750 0.357
O: 0.205 0.250 0.271
O: 0.295 0.750 0.771
O: 0.339 0.250 0.857
O: 0.403 0.040 0.274
O: 0.403 0.460 0.274
O: 0.597 0.540 0.726
O: 0.597 0.960 0.726
O: 0.661 0.750 0.143
O: 0.705 0.250 0.229
O: 0.795 0.750 0.729
O: 0.839 0.250 0.643
O: 0.903 0.040 0.226
O: 0.903 0.460 0.226

Principal peaks in the range 2θ = 10–80°, sorted by position:
hkl 2 0 0, 2θ = 16.26°, d 5.452, I = 100; hkl 0 1 1, 2θ = 24.18°, d 3.680, I = 31; hkl 2 0 1, 2θ = 24.97°, d 3.566, I = 87; hkl 0 2 0, 2θ = 30.35°, d 2.945, I = 33; hkl 2 2 0, 2θ = 34.62°, d 2.591, I = 88; hkl 4 1 0, 2θ = 36.32°, d 2.474, I = 36; hkl 0 0 2, 2θ = 38.18°, d 2.357, I = 67; hkl 6 2 0, 2θ = 59.81°, d 1.546, I = 32



What is the formula in the first record? RbLi2V2B3O9